Record 1
For LaMgCrCuO6, the GGA+U geometry in Alexandria gives the computed XRD peak list in this record (Cu Kα (λ = 1.5418 Å)).
Neutral-atom scattering factors, no anomalous dispersion.

The 10 most intense peaks (10 to 80 degrees two-theta), in order of rising 2θ:
hkl 0 1 1, 20.0°, rel. 30
hkl 1 0 -2, 20.3°, rel. 29
hkl 0 2 0, 33.0°, rel. 21
hkl 1 1 1, 33.1°, rel. 100
hkl 2 0 -2, 33.7°, rel. 21
hkl 1 0 -4, 39.0°, rel. 15
hkl 2 1 -1, 39.5°, rel. 17
hkl 0 0 4, 47.2°, rel. 15
hkl 2 2 -2, 47.9°, rel. 25
hkl 1 3 -3, 59.0°, rel. 13

Atomic structure:
```
data_LaMgCrCuO6
_cell_length_a 5.3162
_cell_length_b 5.4351
_cell_length_c 9.3454
_cell_angle_alpha 90.00
_cell_angle_beta 124.52
_cell_angle_gamma 90.00
_space_group_name_H-M_alt 'P 1 c 1'
_space_group_IT_number 7
loop_
_space_group_symop_operation_xyz
'x,y,z'
'x,-y,z+1/2'
loop_
_atom_site_label
_atom_site_fract_x
_atom_site_fract_y
_atom_site_fract_z
La1 0.0000 0.2035 0.0000
Mg1 0.4721 0.3060 0.5045
Cr1 0.2388 0.2588 0.7512
Cu1 0.7373 0.2522 0.2490
O1 0.0381 0.4768 0.8067
O2 0.1331 0.0415 0.3097
O3 0.3971 0.4919 0.1833
O4 0.4941 0.0600 0.6925
O5 0.5745 0.3107 0.9952
O6 0.8633 0.2256 0.5059
```



Record 2
For Li2Cr3CuO8, the GGA+U geometry in Alexandria gives the computed XRD peak list in this record (Cu Kα (λ = 1.5418 Å)).
Neutral-atom scattering factors, no anomalous dispersion.

The 10 most intense peaks (10 to 80 degrees two-theta), in order of rising 2θ:
hkl 0 0 3, 18.3°, rel. 28
hkl 1 0 1, 18.4°, rel. 100
hkl 0 1 5, 35.5°, rel. 15
hkl 1 1 3, 35.6°, rel. 46
hkl 2 0 2, 37.3°, rel. 10
hkl 0 2 4, 43.3°, rel. 70
hkl 0 3 3, 57.3°, rel. 20
hkl 2 0 8, 62.7°, rel. 20
hkl 2 2 0, 63.1°, rel. 21
hkl 4 0 4, 79.6°, rel. 8

Atomic structure:
```
data_Li2Cr3CuO8
_cell_length_a 5.8972
_cell_length_b 5.8972
_cell_length_c 14.5457
_cell_angle_alpha 90.00
_cell_angle_beta 90.00
_cell_angle_gamma 120.00
_space_group_name_H-M_alt 'R -3 m'
_space_group_IT_number 166
_space_group_name_Hall '-R 3 2"'
loop_
_atom_site_label
_atom_site_fract_x
_atom_site_fract_y
_atom_site_fract_z
Li1 0.0000 0.0000 0.1266
Cr1 0.0000 0.5000 0.0000
Cu1 0.0000 0.0000 0.5000
O1 0.0000 0.0000 0.2611
O2 0.0312 0.5156 0.2603
```



Record 3
For Li5Cr2Cu5O12, the GGA+U geometry in Alexandria gives the computed XRD peak list in this record (Cu Kα (λ = 1.5418 Å)).
Neutral-atom scattering factors, no anomalous dispersion.

The 10 most intense peaks (10 to 80 degrees two-theta), in order of rising 2θ:
hkl 0 0 2, 18.3°, rel. 40
hkl 0 2 0, 20.3°, rel. 24
hkl 1 1 -1, 21.3°, rel. 29
hkl 1 1 1, 22.5°, rel. 33
hkl 1 3 1, 37.0°, rel. 49
hkl 2 0 2, 40.8°, rel. 62
hkl 1 3 -3, 44.4°, rel. 100
hkl 1 3 5, 61.3°, rel. 31
hkl 3 3 -1, 62.4°, rel. 29
hkl 0 0 8, 78.7°, rel. 20

Atomic structure:
```
data_Li5Cr2Cu5O12
_cell_length_a 5.2131
_cell_length_b 8.7357
_cell_length_c 9.7592
_cell_angle_alpha 90.00
_cell_angle_beta 95.00
_cell_angle_gamma 90.00
_space_group_name_H-M_alt 'C 1 2 1'
_space_group_IT_number 5
loop_
_space_group_symop_operation_xyz
'x,y,z'
'-x,y,-z'
'x+1/2,y+1/2,z'
'-x+1/2,y+1/2,-z'
loop_
_atom_site_label
_atom_site_fract_x
_atom_site_fract_y
_atom_site_fract_z
Li1 0.0000 0.0000 0.0000
Li2 0.2255 0.5078 0.2398
Li3 0.2280 0.1708 0.2416
Cr1 0.0000 0.3409 0.0000
Cr2 0.0000 0.8416 0.5000
Cu1 0.0000 0.1779 0.5000
Cu2 0.0000 0.5053 0.5000
Cu3 0.0000 0.6750 0.0000
Cu4 0.2415 0.8422 0.2478
O1 0.1331 0.4969 0.8782
O2 0.1554 0.9995 0.3798
O3 0.1565 0.1871 0.8793
O4 0.1559 0.6820 0.3830
O5 0.1657 0.3422 0.3868
O6 0.1791 0.8348 0.8900
```



Record 4
For Li2Cr3CuO8, the GGA+U geometry in Alexandria gives the computed XRD peak list in this record (Cu Kα (λ = 1.5418 Å)).
Neutral-atom scattering factors, no anomalous dispersion.

The 10 most intense peaks (10 to 80 degrees two-theta), in order of rising 2θ:
hkl 0 0 3, 18.4°, rel. 59
hkl 1 0 1, 18.5°, rel. 15
hkl 0 1 2, 21.3°, rel. 38
hkl 1 0 4, 30.3°, rel. 36
hkl 0 1 5, 35.7°, rel. 17
hkl 0 2 1, 35.8°, rel. 100
hkl 0 2 4, 43.5°, rel. 34
hkl 0 2 7, 57.4°, rel. 22
hkl 2 0 8, 63.0°, rel. 25
hkl 2 2 0, 63.4°, rel. 27

Atomic structure:
```
data_Li2Cr3CuO8
_cell_length_a 5.8699
_cell_length_b 5.8699
_cell_length_c 14.4961
_cell_angle_alpha 90.00
_cell_angle_beta 90.00
_cell_angle_gamma 120.00
_space_group_name_H-M_alt 'R 3 m'
_space_group_IT_number 160
_space_group_name_Hall 'R 3 -2"'
loop_
_atom_site_label
_atom_site_fract_x
_atom_site_fract_y
_atom_site_fract_z
Li1 0.0000 0.0000 0.0000
Li2 0.0000 0.0000 0.3762
Cr1 0.0057 0.5028 0.8776
Cu1 0.0000 0.0000 0.7553
O1 0.0000 0.0000 0.1363
O2 0.0000 0.0000 0.6184
O3 0.0269 0.5134 0.1378
O4 0.1797 0.3593 0.9456
```



Record 5
For Li2Cr3CuO8, the GGA+U geometry in Alexandria gives the computed XRD peak list in this record (Cu Kα (λ = 1.5418 Å)).
Neutral-atom scattering factors, no anomalous dispersion.

The 10 most intense peaks (10 to 80 degrees two-theta), in order of rising 2θ:
hkl 2 0 -1, 18.4°, rel. 100
hkl 2 0 3, 35.6°, rel. 48
hkl 0 4 2, 37.3°, rel. 11
hkl 0 0 4, 43.3°, rel. 55
hkl 6 0 -1, 47.4°, rel. 10
hkl 2 0 5, 57.2°, rel. 7
hkl 4 6 -1, 57.3°, rel. 13
hkl 4 4 4, 62.9°, rel. 27
hkl 2 4 -5, 66.1°, rel. 8
hkl 8 0 -4, 79.4°, rel. 6

Atomic structure:
```
data_Li2Cr3CuO8
_cell_length_a 11.8070
_cell_length_b 11.8181
_cell_length_c 8.3684
_cell_angle_alpha 90.00
_cell_angle_beta 90.08
_cell_angle_gamma 90.00
_space_group_name_H-M_alt 'C 1 2 1'
_space_group_IT_number 5
loop_
_space_group_symop_operation_xyz
'x,y,z'
'-x,y,-z'
'x+1/2,y+1/2,z'
'-x+1/2,y+1/2,-z'
loop_
_atom_site_label
_atom_site_fract_x
_atom_site_fract_y
_atom_site_fract_z
Li1 0.1235 0.0000 0.1258
Li2 0.1233 0.2515 0.3792
Li3 0.1239 0.5006 0.1247
Li4 0.1239 0.7524 0.3737
Cr1 0.0000 0.9995 0.5000
Cr2 0.0000 0.2481 0.0000
Cr3 0.1254 0.6268 0.7463
Cr4 0.1267 0.3752 0.7487
Cr5 0.1266 0.8781 0.7492
Cr6 0.2493 0.2504 0.9992
Cr7 0.2498 0.0017 0.5003
Cu1 0.0000 0.5045 0.5000
Cu2 0.0000 0.7518 0.0000
Cu3 0.1264 0.1263 0.7506
O1 0.0115 0.2509 0.7604
O2 0.0151 0.7546 0.7644
O3 0.0170 0.5077 0.7443
O4 0.0166 0.9952 0.7413
O5 0.1260 0.3938 0.5077
O6 0.1264 0.6184 0.5174
O7 0.1273 0.8874 0.5128
O8 0.1304 0.1111 0.5146
O9 0.1305 0.3606 0.9888
O10 0.1301 0.6377 0.9816
O11 0.1308 0.1369 0.9865
O12 0.1322 0.8621 0.9889
O13 0.2350 0.7503 0.7600
O14 0.2402 0.2491 0.7637
O15 0.2411 0.5050 0.7298
O16 0.2432 0.9906 0.7319
```



Record 6
For Li2CrCuP2O8, the GGA+U geometry in Alexandria gives the computed XRD peak list in this record (Cu Kα (λ = 1.5418 Å)).
Neutral-atom scattering factors, no anomalous dispersion.

The 10 most intense peaks (10 to 80 degrees two-theta), in order of rising 2θ:
hkl 0 0 2, 17.4°, rel. 38
hkl 1 0 1, 20.6°, rel. 68
hkl 1 1 -1, 25.3°, rel. 89
hkl 0 2 0, 29.2°, rel. 74
hkl 1 0 3, 32.4°, rel. 32
hkl 1 1 -3, 35.6°, rel. 100
hkl 1 2 1, 36.0°, rel. 35
hkl 0 1 4, 38.2°, rel. 22
hkl 2 2 -2, 51.9°, rel. 36
hkl 0 1 6, 56.1°, rel. 46

Atomic structure:
```
data_Li2CrCuP2O8
_cell_length_a 4.7566
_cell_length_b 6.1088
_cell_length_c 10.2028
_cell_angle_alpha 90.00
_cell_angle_beta 90.03
_cell_angle_gamma 90.00
_space_group_name_H-M_alt 'P 1 21/m 1'
_space_group_IT_number 11
loop_
_space_group_symop_operation_xyz
'x,y,z'
'-x,-y,-z'
'-x,y+1/2,-z'
'x,-y+1/2,z'
loop_
_atom_site_label
_atom_site_fract_x
_atom_site_fract_y
_atom_site_fract_z
Li1 0.0000 0.0000 0.0000
Li2 0.5000 0.0000 0.5000
Cr1 0.0221 0.2500 0.7179
Cu1 0.4550 0.2500 0.2152
P1 0.0789 0.7500 0.5916
P2 0.4128 0.7500 0.0991
O1 0.2068 0.7500 0.4489
O2 0.2103 0.5436 0.6592
O3 0.2434 0.2500 0.4085
O4 0.2628 0.2500 0.8913
O5 0.2689 0.5507 0.1706
O6 0.3060 0.7500 0.9561
```



Record 7
For Li4Cr2Cu3Sb3O16, the GGA+U geometry in Alexandria gives the computed XRD peak list in this record (Cu Kα (λ = 1.5418 Å)).
Neutral-atom scattering factors, no anomalous dispersion.

The 10 most intense peaks (10 to 80 degrees two-theta), in order of rising 2θ:
hkl 0 1 1, 18.4°, rel. 28
hkl 0 0 2, 18.6°, rel. 100
hkl 1 1 1, 19.2°, rel. 41
hkl 1 1 -1, 19.6°, rel. 24
hkl 0 2 1, 34.0°, rel. 19
hkl 0 2 -1, 35.0°, rel. 22
hkl 2 0 -1, 35.3°, rel. 23
hkl 2 2 1, 35.4°, rel. 32
hkl 2 2 3, 44.3°, rel. 31
hkl 2 2 5, 59.3°, rel. 17

Atomic structure:
```
data_Li4Cr2Cu3Sb3O16
_cell_length_a 5.9691
_cell_length_b 6.1762
_cell_length_c 9.5461
_cell_angle_alpha 87.27
_cell_angle_beta 89.85
_cell_angle_gamma 61.28
_space_group_name_H-M_alt 'P 1'
_space_group_IT_number 1
loop_
_space_group_symop_operation_xyz
'x,y,z'
loop_
_atom_site_label
_atom_site_fract_x
_atom_site_fract_y
_atom_site_fract_z
Li1 0.0000 0.0000 0.0000
Li2 0.1034 0.7793 0.5505
Li3 0.3527 0.2819 0.6314
Li4 0.6682 0.6576 0.1046
Cr1 0.3195 0.3585 0.0138
Cr2 0.6599 0.6680 0.5215
Cu1 0.1672 0.6604 0.2807
Cu2 0.3353 0.8233 0.7970
Cu3 0.8266 0.8295 0.7976
Sb1 0.1657 0.1644 0.2993
Sb2 0.6630 0.1648 0.3001
Sb3 0.8274 0.3400 0.7838
O1 0.0050 0.9968 0.7026
O2 0.0404 0.4721 0.1703
O3 0.1355 0.2106 0.9110
O4 0.1579 0.6893 0.9168
O5 0.3186 0.8325 0.4025
O6 0.3533 0.2846 0.4190
O7 0.4757 0.0420 0.1688
O8 0.4856 0.4700 0.1705
O9 0.5220 0.9260 0.6640
O10 0.5351 0.4794 0.6426
O11 0.6533 0.1964 0.9087
O12 0.6598 0.6569 0.8930
O13 0.8350 0.3254 0.4035
O14 0.8367 0.8352 0.4039
O15 0.9719 0.4991 0.6460
O16 0.9779 0.0368 0.1864
```



Record 8
For Li4V3Cr3Cu2O16, the GGA+U geometry in Alexandria gives the computed XRD peak list in this record (Cu Kα (λ = 1.5418 Å)).
Neutral-atom scattering factors, no anomalous dispersion.

The 10 most intense peaks (10 to 80 degrees two-theta), in order of rising 2θ:
hkl 0 0 2, 17.8°, rel. 100
hkl 0 1 -1, 19.0°, rel. 25
hkl 0 1 1, 19.5°, rel. 60
hkl 1 0 -1, 20.1°, rel. 25
hkl 1 1 -1, 20.2°, rel. 26
hkl 1 0 2, 23.9°, rel. 27
hkl 1 1 3, 31.7°, rel. 23
hkl 0 2 -1, 35.4°, rel. 29
hkl 0 2 1, 36.0°, rel. 30
hkl 2 0 -3, 46.4°, rel. 25

Atomic structure:
```
data_Li4V3Cr3Cu2O16
_cell_length_a 5.8109
_cell_length_b 5.8836
_cell_length_c 9.9774
_cell_angle_alpha 89.91
_cell_angle_beta 85.94
_cell_angle_gamma 62.30
_space_group_name_H-M_alt 'P 1'
_space_group_IT_number 1
loop_
_space_group_symop_operation_xyz
'x,y,z'
loop_
_atom_site_label
_atom_site_fract_x
_atom_site_fract_y
_atom_site_fract_z
Li1 0.0000 0.0000 0.0000
Li2 0.0250 0.0256 0.5023
Li3 0.3557 0.3176 0.0817
Li4 0.7329 0.6225 0.6039
V1 0.2360 0.1129 0.7786
V2 0.3938 0.7909 0.2486
V3 0.9233 0.3427 0.2989
Cr1 0.2072 0.6302 0.7763
Cr2 0.7079 0.1379 0.7773
Cr3 0.8509 0.8660 0.2801
Cu1 0.3848 0.3435 0.5154
Cu2 0.6957 0.6384 0.9643
O1 0.0067 0.5184 0.1764
O2 0.0488 0.0340 0.1835
O3 0.0626 0.9649 0.6799
O4 0.0990 0.4309 0.6576
O5 0.1671 0.2381 0.4053
O6 0.1847 0.7355 0.3744
O7 0.3321 0.8411 0.8899
O8 0.3543 0.3045 0.8825
O9 0.5180 0.5419 0.1314
O10 0.5295 0.9922 0.1797
O11 0.5321 0.9786 0.6709
O12 0.5430 0.4404 0.6571
O13 0.6701 0.6768 0.3742
O14 0.7130 0.2014 0.3872
O15 0.8671 0.8207 0.8901
O16 0.8876 0.2915 0.8815
```



Record 9
For Li2V4CrCuO12, the GGA+U geometry in Alexandria gives the computed XRD peak list in this record (Cu Kα (λ = 1.5418 Å)).
Neutral-atom scattering factors, no anomalous dispersion.

The 10 most intense peaks (10 to 80 degrees two-theta), in order of rising 2θ:
hkl 1 1 0, 13.6°, rel. 42
hkl 1 1 -1, 18.9°, rel. 34
hkl 0 2 0, 20.7°, rel. 13
hkl 2 2 -1, 28.4°, rel. 100
hkl 3 1 0, 28.7°, rel. 43
hkl 0 0 2, 34.4°, rel. 32
hkl 2 2 1, 36.0°, rel. 29
hkl 1 1 2, 40.4°, rel. 20
hkl 5 3 -1, 52.9°, rel. 21
hkl 2 2 -3, 53.1°, rel. 13

Atomic structure:
```
data_Li2V4CrCuO12
_cell_length_a 10.8708
_cell_length_b 8.5674
_cell_length_c 5.6552
_cell_angle_alpha 90.00
_cell_angle_beta 112.83
_cell_angle_gamma 90.00
_space_group_name_H-M_alt 'C 1 2 1'
_space_group_IT_number 5
loop_
_space_group_symop_operation_xyz
'x,y,z'
'-x,y,-z'
'x+1/2,y+1/2,z'
'-x+1/2,y+1/2,-z'
loop_
_atom_site_label
_atom_site_fract_x
_atom_site_fract_y
_atom_site_fract_z
Li1 0.0000 0.0000 0.0000
Li2 0.0000 0.4508 0.5000
V1 0.2202 0.3312 0.0179
V2 0.2245 0.1234 0.5432
Cr1 0.0000 0.8062 0.5000
Cu1 0.0000 0.6228 0.0000
O1 0.1005 0.6317 0.4177
O2 0.1060 0.8220 0.8815
O3 0.1165 0.9655 0.4359
O4 0.1506 0.2926 0.6818
O5 0.1573 0.2074 0.1881
O6 0.1852 0.5224 0.0783
```